Theoretical powder diffraction line list
Compound: Np3As4
Radiation: Cu Kα X-rays
Structure: a DFT-relaxed cell (GGA-PBE, the Materials Project)
Lines closer than 0.1° are merged.

Largest 6 diffraction maxima, most intense first, 2θ from 10° to 90°:
33.34°, I 100, (3 1 0)
25.68°, I 70, (2 1 1)
39.69°, I 69, (3 2 1)
68.00°, I 37, (6 1 1)
47.87°, I 36, (4 2 0)
83.62°, I 25, (5 5 2)

Cell and atoms:
abc: 8.498 8.498 8.498
angles: 90.00 90.00 90.00
Space group I-43d (No. 220)
One atom of each set of equivalent atoms:
Np: 0.000 0.250 0.875 (multiplicity 12)
As: 0.080 0.420 0.580 (multiplicity 16)



Theoretical powder diffraction line list
Compound: NpAs3
Radiation: Cu Kα X-rays
Structure: a DFT-relaxed cell (GGA-PBE, the Materials Project)
Lines closer than 0.1° are merged.

Largest 6 diffraction maxima, most intense first, 2θ from 10° to 90°:
36.48°, I 100, (1 1 2)
23.85°, I 31, (1 0 1)
44.87°, I 28, (2 0 0)
59.50°, I 24, (2 0 4)
36.99°, I 24, (0 0 4)
77.21°, I 23, (3 1 2)

Cell and atoms:
abc: 4.040 4.040 9.722
angles: 90.00 90.00 90.00
Space group I4/mmm (No. 139)
One atom of each set of equivalent atoms:
Np: 0.000 0.000 0.000 (multiplicity 2)
As: 0.000 0.000 0.500 (multiplicity 2)
As: 0.000 0.500 0.250 (multiplicity 4)



Theoretical powder diffraction line list
Compound: NpAs
Radiation: Cu Kα X-rays
Structure: a DFT-relaxed cell (GGA-PBE, the Materials Project)
Lines closer than 0.1° are merged.

Largest 6 diffraction maxima, most intense first, 2θ from 10° to 90°:
36.28°, I 100, (1 1 0)
65.26°, I 37, (2 1 1)
25.43°, I 30, (1 0 0)
52.24°, I 18, (2 0 0)
88.24°, I 17, (3 1 0)
58.98°, I 13, (2 1 0)

Cell and atoms:
abc: 3.502 3.502 3.502
angles: 90.00 90.00 90.00
Space group Pm-3m (No. 221)
One atom of each set of equivalent atoms:
Np: 0.000 0.000 0.000 (multiplicity 1)
As: 0.500 0.500 0.500 (multiplicity 1)



Theoretical powder diffraction line list
Compound: NpAs
Radiation: Cu Kα X-rays
Structure: a DFT-relaxed cell (GGA-PBE, the Materials Project)
Lines closer than 0.1° are merged.

Largest 6 diffraction maxima, most intense first, 2θ from 10° to 90°:
30.72°, I 100, (2 0 0)
44.00°, I 76, (2 2 0)
26.53°, I 47, (1 1 1)
72.65°, I 35, (4 2 0)
54.62°, I 27, (2 2 2)
80.92°, I 27, (4 2 2)

Cell and atoms:
abc: 5.820 5.820 5.820
angles: 90.00 90.00 90.00
Space group Fm-3m (No. 225)
One atom of each set of equivalent atoms:
Np: 0.000 0.000 0.000 (multiplicity 4)
As: 0.000 0.000 0.500 (multiplicity 4)



Theoretical powder diffraction line list
Compound: NpAsS
Radiation: Cu Kα X-rays
Structure: a DFT-relaxed cell (GGA-PBE, the Materials Project)
Lines closer than 0.1° are merged.

Largest 6 diffraction maxima, most intense first, 2θ from 10° to 90°:
25.52°, I 100, (1 0 1)
39.74°, I 66, (1 1 2)
34.64°, I 31, (1 1 1)
47.05°, I 30, (2 0 0)
54.28°, I 28, (2 1 1)
33.00°, I 25, (0 0 3)

Cell and atoms:
abc: 3.863 3.863 8.142
angles: 90.00 90.00 90.00
Space group P4/nmm (No. 129, origin choice 2)
One atom of each set of equivalent atoms:
Np: 0.250 0.250 0.208 (multiplicity 2)
As: 0.250 0.750 0.500 (multiplicity 2)
S: 0.250 0.250 0.863 (multiplicity 2)



Theoretical powder diffraction line list
Compound: As2O5
Radiation: Cu Kα X-rays
Structure: a DFT-relaxed cell (GGA-PBE, the Materials Project)
Lines closer than 0.1° are merged.

Largest 6 diffraction maxima, most intense first, 2θ from 10° to 90°:
14.31°, I 100, (0 1 1)
23.72°, I 44, (1 1 1)
29.74°, I 43, (1 2 1)
29.58°, I 40, (1 1 2)
27.70°, I 29, (1 0 2)
27.92°, I 26, (1 2 0)

Cell and atoms:
abc: 4.716 8.691 8.816
angles: 90.00 90.00 90.00
Space group P2_12_12_1 (No. 19)
One atom of each set of equivalent atoms:
As: 0.119 0.033 0.284 (multiplicity 4)
As: 0.124 0.653 0.902 (multiplicity 4)
O: 0.051 0.004 0.476 (multiplicity 4)
O: 0.102 0.315 0.546 (multiplicity 4)
O: 0.129 0.107 0.759 (multiplicity 4)
O: 0.168 0.520 0.335 (multiplicity 4)
O: 0.206 0.225 0.252 (multiplicity 4)



Theoretical powder diffraction line list
Compound: As2O5
Radiation: Cu Kα X-rays
Structure: a DFT-relaxed cell (GGA-PBE, the Materials Project)
Lines closer than 0.1° are merged.

Largest 6 diffraction maxima, most intense first, 2θ from 10° to 90°:
14.29°, I 100, (1 1 0)
29.65°, I 83, (2 1 1)
27.80°, I 57, (2 0 1)
23.72°, I 44, (1 1 1)
46.89°, I 34, (4 1 1)
36.18°, I 33, (3 0 1)

Cell and atoms:
abc: 8.764 8.764 4.712
angles: 90.00 90.00 90.00
Space group P4_32_12 (No. 96)
One atom of each set of equivalent atoms:
As: 0.097 0.097 0.000 (multiplicity 4)
As: 0.216 0.784 0.250 (multiplicity 4)
O: 0.024 0.754 0.327 (multiplicity 8)
O: 0.057 0.943 0.750 (multiplicity 4)
O: 0.154 0.266 0.230 (multiplicity 8)



Theoretical powder diffraction line list
Compound: As2O5
Radiation: Cu Kα X-rays
Structure: a DFT-relaxed cell (GGA-PBE, the Materials Project)
Lines closer than 0.1° are merged.

Largest 6 diffraction maxima, most intense first, 2θ from 10° to 90°:
14.29°, I 100, (1 1 0)
29.65°, I 83, (2 1 1)
27.80°, I 57, (2 0 1)
23.72°, I 44, (1 1 1)
46.89°, I 34, (4 1 1)
36.18°, I 33, (3 0 1)

Cell and atoms:
abc: 8.764 8.764 4.712
angles: 90.00 90.00 90.00
Space group P4_12_12 (No. 92)
One atom of each set of equivalent atoms:
As: 0.097 0.097 0.000 (multiplicity 4)
As: 0.216 0.784 0.750 (multiplicity 4)
O: 0.024 0.754 0.673 (multiplicity 8)
O: 0.057 0.943 0.250 (multiplicity 4)
O: 0.154 0.266 0.770 (multiplicity 8)



Theoretical powder diffraction line list
Compound: AsPO4
Radiation: Cu Kα X-rays
Structure: a DFT-relaxed cell (GGA-PBE, the Materials Project)
Lines closer than 0.1° are merged.

Largest 6 diffraction maxima, most intense first, 2θ from 10° to 90°:
29.41°, I 100, (2 1 1)
23.36°, I 92, (1 1 1)
22.84°, I 53, (0 0 2)
40.42°, I 44, (1 1 3)
20.37°, I 44, (2 0 0)
25.04°, I 42, (1 0 2)

Cell and atoms:
abc: 8.720 5.044 7.788
angles: 90.00 90.00 90.00
Space group Pnma (No. 62)
One atom of each set of equivalent atoms:
As: 0.224 0.250 0.179 (multiplicity 4)
P: 0.097 0.250 0.810 (multiplicity 4)
O: 0.060 0.750 0.114 (multiplicity 4)
O: 0.123 0.002 0.690 (multiplicity 8)
O: 0.235 0.250 0.943 (multiplicity 4)